For Tm2Tl2CrO6, a GGA+U-relaxed structure gives the theoretical powder diffractogram in this record (copper Kα).

Largest 6 diffraction maxima, sorted by position, 15° ≤ 2θ ≤ 90°:
2θ/deg, intensity
20.32, 549
27.33, 782
32.55, 443
33.14, 1000
36.65, 971
36.75, 487

Structure:
```
Tm2Tl2CrO6
1.0
2.852 -4.863 0.000
2.852 4.863 0.000
-1.786 0.000 6.527
Tm Tl Cr O
2 2 1 6
direct
0.165 0.835 0.000
0.835 0.165 0.000
0.335 0.665 0.500
0.665 0.335 0.500
0.500 0.500 0.000
0.152 0.451 0.843
0.249 0.249 0.169
0.451 0.152 0.843
0.549 0.848 0.157
0.751 0.751 0.831
0.848 0.549 0.157
```